RbHo2Cu3S5: simulated powder XRD pattern (Cu Kα (weighted mean of Kα1 and Kα2)), based on a structure optimized by DFT (GGA-PBE).

Main lines, most intense first (2θ = 10–80°):
| 2θ (°) | Rel. int. |
| --- | --- |
| 28.58 | 100 |
| 32.57 | 53 |
| 37.01 | 51 |
| 26.16 | 47 |
| 31.69 | 45 |
| 39.61 | 41 |
| 12.71 | 41 |
| 49.13 | 41 |

Atomic structure:
```
RbHo2Cu3S5
1.0
1.9715 -6.9639 0.0000
1.9715 6.9639 0.0000
0.0000 0.0000 16.4959
Rb Ho Cu S
2 4 6 10
direct
0.0655 0.9345 0.7500
0.9345 0.0655 0.2500
0.1920 0.8080 0.0927
0.1920 0.8080 0.4073
0.8080 0.1920 0.5927
0.8080 0.1920 0.9073
0.3449 0.6551 0.7500
0.4159 0.5841 0.0363
0.4159 0.5841 0.4637
0.5841 0.4159 0.5363
0.5841 0.4159 0.9637
0.6551 0.3449 0.2500
0.1677 0.8323 0.5695
0.1677 0.8323 0.9305
0.2378 0.7622 0.2500
0.4386 0.5614 0.6131
0.4386 0.5614 0.8869
0.5614 0.4386 0.1131
0.5614 0.4386 0.3869
0.7622 0.2378 0.7500
0.8323 0.1677 0.0695
0.8323 0.1677 0.4305
```